1.
Simulated powder XRD pattern
Compound: Zn2InAg8
Radiation: Cu Kα X-rays
Structure: the GGA-PBE geometry in Alexandria
No peak broadening, texture or thermal motion is included.

Cell: 7.700 7.700 6.582 Å, 106.33 106.33 31.42°
Fractional positions:
Zn  0.222  0.222  0.146
Zn  0.778  0.778  0.854
In  0.500  0.500  0.500
Ag  0.046  0.046  0.226
Ag  0.146  0.146  0.707
Ag  0.317  0.317  0.580
Ag  0.402  0.402  0.036
Ag  0.598  0.598  0.964
Ag  0.683  0.683  0.420
Ag  0.854  0.854  0.293
Ag  0.954  0.954  0.774

Principal peaks in the range 2θ = 15–90°, low angle first:
| 2θ/deg | intensity |
| --- | --- |
| 37.6 | 100 |
| 37.8 | 96 |
| 43.2 | 33 |
| 43.4 | 33 |
| 44.7 | 28 |
| 62.9 | 20 |
| 64.1 | 18 |
| 75.4 | 12 |
| 75.8 | 23 |
| 75.9 | 11 |

2.
Simulated powder XRD pattern
Compound: Dy3ZnBi
Radiation: Cu Kα X-rays
Structure: the GGA-PBE geometry in Alexandria
No peak broadening, texture or thermal motion is included.

Cell: 4.222 7.128 9.682 Å, 90.00 90.00 90.00°
Fractional positions:
Dy  0.250  0.013  0.163
Dy  0.250  0.250  0.592
Dy  0.250  0.487  0.163
Dy  0.750  0.513  0.837
Dy  0.750  0.750  0.408
Dy  0.750  0.987  0.837
Zn  0.250  0.250  0.905
Zn  0.750  0.750  0.095
Bi  0.250  0.750  0.650
Bi  0.750  0.250  0.350

Principal peaks in the range 2θ = 15–90°, low angle first:
| 2θ/deg | intensity |
| --- | --- |
| 26.7 | 38 |
| 28.0 | 82 |
| 34.2 | 100 |
| 37.1 | 17 |
| 37.6 | 33 |
| 42.8 | 24 |
| 43.5 | 16 |
| 51.2 | 27 |
| 58.3 | 19 |
| 59.5 | 21 |

3.
Simulated powder XRD pattern
Compound: PmPu2Ga6
Radiation: Cu Kα X-rays
Structure: the GGA-PBE geometry in Alexandria
No peak broadening, texture or thermal motion is included.

Cell: 7.695 7.695 7.695 Å, 146.50 124.54 66.36°
Fractional positions:
Pm  0.000  0.000  0.000
Pu  0.382  0.882  0.500
Pu  0.618  0.118  0.500
Ga  0.007  0.312  0.695
Ga  0.308  0.500  0.808
Ga  0.383  0.688  0.695
Ga  0.617  0.312  0.305
Ga  0.692  0.500  0.192
Ga  0.993  0.688  0.305

Principal peaks in the range 2θ = 15–90°, low angle first:
| 2θ/deg | intensity |
| --- | --- |
| 23.6 | 32 |
| 24.2 | 18 |
| 27.4 | 18 |
| 32.9 | 100 |
| 36.7 | 68 |
| 37.1 | 26 |
| 40.5 | 27 |
| 40.7 | 33 |
| 43.4 | 36 |
| 61.0 | 23 |

4.
Simulated powder XRD pattern
Compound: La2Tb2SmCd5
Radiation: Cu Kα X-rays
Structure: the GGA-PBE geometry in Alexandria
No peak broadening, texture or thermal motion is included.

Cell: 10.758 10.758 4.852 Å, 90.00 90.00 90.00°
Fractional positions:
La  0.176  0.324  0.000
La  0.324  0.824  0.000
La  0.676  0.176  0.000
La  0.824  0.676  0.000
Tb  0.123  0.623  0.000
Tb  0.377  0.123  0.000
Tb  0.623  0.877  0.000
Tb  0.877  0.377  0.000
Sm  0.000  0.000  0.000
Sm  0.500  0.500  0.000
Cd  0.000  0.500  0.500
Cd  0.068  0.804  0.500
Cd  0.196  0.068  0.500
Cd  0.304  0.568  0.500
Cd  0.432  0.304  0.500
Cd  0.500  0.000  0.500
Cd  0.568  0.696  0.500
Cd  0.696  0.432  0.500
Cd  0.804  0.932  0.500
Cd  0.932  0.196  0.500

Principal peaks in the range 2θ = 15–90°, low angle first:
| 2θ/deg | intensity |
| --- | --- |
| 29.9 | 17 |
| 32.1 | 100 |
| 34.4 | 27 |
| 35.3 | 49 |
| 37.1 | 30 |
| 37.4 | 9 |
| 38.3 | 9 |
| 51.4 | 16 |
| 63.7 | 14 |
| 66.1 | 10 |